1.
# Li6PdPt2
Computed powder X-ray diffraction pattern, copper Kα. Input: a cell relaxed with GGA-PBE.
No peak broadening, texture or thermal motion is included.

Most intense lines, 2θ = 10–90°, low angle first:
d/Å, Position (°2θ), I_rel
5.794, 15.29, 15.9
4.712, 18.83, 29.1
3.979, 22.34, 100.0
3.274, 27.24, 30.2
3.092, 28.88, 41.9
2.579, 34.79, 26.6
2.174, 41.54, 34.4
2.165, 41.73, 80.4
2.116, 42.74, 42.7
1.637, 56.19, 13.6

Lattice parameters (Å, degrees): 6.6771 6.6771 4.2367 108.23 108.23 45.44
Fractional positions:
Li: 0.1250 0.6542 0.8901
Li: 0.2162 0.2162 0.7143
Li: 0.3458 0.8750 0.1099
Li: 0.6542 0.1250 0.8901
Li: 0.7838 0.7838 0.2857
Li: 0.8750 0.3458 0.1099
Pd: 0.0000 0.0000 0.5000
Pt: 0.3819 0.3819 0.3819
Pt: 0.6181 0.6181 0.6181



2.
# LiPd8Pt6
Computed powder X-ray diffraction pattern, copper Kα. Input: a cell relaxed with GGA-PBE.
No peak broadening, texture or thermal motion is included.

Most intense lines, 2θ = 10–90°, low angle first:
d/Å, Position (°2θ), I_rel
3.355, 26.57, 62.4
2.462, 36.50, 50.2
2.317, 38.88, 42.8
2.111, 42.84, 100.0
2.036, 44.49, 50.6
2.001, 45.33, 24.7
1.937, 46.90, 31.3
1.427, 65.39, 18.4
1.299, 72.80, 16.2
1.149, 84.28, 24.8

Lattice parameters (Å, degrees): 10.2499 10.2499 2.7158 90.00 90.00 120.00
Fractional positions:
Li: 0.0000 0.0000 0.0000
Pd: 0.0813 0.8075 0.7425
Pd: 0.1925 0.2738 0.7425
Pd: 0.2738 0.0813 0.2575
Pd: 0.3333 0.6667 0.2518
Pd: 0.6667 0.3333 0.7482
Pd: 0.7262 0.9187 0.7425
Pd: 0.8075 0.7262 0.2575
Pd: 0.9187 0.1925 0.2575
Pt: 0.0851 0.4582 0.7518
Pt: 0.3731 0.9149 0.7518
Pt: 0.4582 0.3731 0.2482
Pt: 0.5418 0.6269 0.7518
Pt: 0.6269 0.0851 0.2482
Pt: 0.9149 0.5418 0.2482